This entry pairs a crystal structure of Nd2I2Br with its computed X-ray powder pattern. Radiation: Cu Ka. Structure: a cell relaxed with GGA-PBE.
Lines closer than 0.1° are merged.

Cell and atoms:
Cell lengths 13.479, 6.207, 8.828 Å; angles 90.00, 113.66, 90.00 degrees
Space group C2/m (No. 12)
Inequivalent atoms, fractional coordinates:
Nd (0.014, 0.000, 0.290)
Nd (0.161, 0.500, 0.569)
I (0.026, 0.500, 0.800)
I (0.203, 0.000, 0.659)
Br (0.149, 0.000, 0.093)

Peak list (10 most intense, 2θ from 15° to 90°, in order of rising 2θ)
- 28.48 deg, I 980, hkl 4 0 -2
- 28.77 deg, I 1000, hkl 0 2 0
- 30.91 deg, I 460, hkl 2 0 2
- 31.56 deg, I 623, hkl 3 1 1
- 34.27 deg, I 547, hkl 1 1 -3
- 40.93 deg, I 732, hkl 4 2 -2
- 42.74 deg, I 320, hkl 2 2 2
- 50.54 deg, I 208, hkl 7 1 -1
- 62.14 deg, I 215, hkl 5 1 3
- 62.67 deg, I 205, hkl 1 1 5